Record 1
# Cs2KAcBr6
Simulated PXRD pattern, Cu Kα (λ = 1.5418 Å). Input: a structure optimized by DFT (GGA-PBE).
Intensities are scaled so that the largest is 100.

Cell and atoms:
```
Cs2KAcBr6
1.0
8.4780 0.0000 0.0000
0.0000 8.8831 0.0000
-8.2547 0.0000 12.1087
Cs K Ac Br
4 2 2 12
direct
0.2237 0.0650 0.2466 Cs
0.2237 0.4350 0.7466 Cs
0.7763 0.5650 0.2534 Cs
0.7763 0.9350 0.7534 Cs
0.0000 0.0000 0.5000 K
0.0000 0.5000 0.0000 K
0.5000 0.0000 0.0000 Ac
0.5000 0.5000 0.5000 Ac
0.1649 0.1922 0.9527 Br
0.1649 0.3078 0.4527 Br
0.2555 0.7186 0.9438 Br
0.2555 0.7814 0.4438 Br
0.3619 0.0354 0.7596 Br
0.3619 0.4646 0.2596 Br
0.6381 0.5354 0.7404 Br
0.6381 0.9646 0.2404 Br
0.7445 0.2186 0.5562 Br
0.7445 0.2814 0.0562 Br
0.8351 0.6922 0.5473 Br
0.8351 0.8078 0.0473 Br
```

Main lines, in order of rising 2θ (10° ≤ 2θ ≤ 90°):
d = 7.162 Å, 12.36°, rel. 70
d = 6.885 Å, 12.86°, rel. 39
d = 4.337 Å, 20.48°, rel. 59
d = 4.280 Å, 20.75°, rel. 59
d = 3.751 Å, 23.72°, rel. 32
d = 3.667 Å, 24.27°, rel. 62
d = 3.619 Å, 24.60°, rel. 41
d = 3.066 Å, 29.12°, rel. 100
d = 3.027 Å, 29.51°, rel. 59
d = 2.476 Å, 36.28°, rel. 44
d = 2.444 Å, 36.78°, rel. 53
d = 2.070 Å, 43.72°, rel. 35


Record 2
# PrSm12Dy2
Simulated PXRD pattern, Cu Kα (λ = 1.5418 Å). Input: a structure optimized by DFT (GGA-PBE).
Intensities are scaled so that the largest is 100.

Cell and atoms:
```
PrSm12Dy2
1.0
3.5745 -5.7582 0.0000
3.5745 5.7582 0.0000
0.0000 0.0000 24.9438
Pr Sm Dy
2 24 4
direct
0.2500 0.7500 0.9986 Pr
0.7500 0.2500 0.0014 Pr
0.0018 0.5018 0.8687 Sm
0.0027 0.9973 0.0774 Sm
0.0179 0.5179 0.4147 Sm
0.0230 0.9770 0.5600 Sm
0.2500 0.2500 0.2005 Sm
0.2500 0.2500 0.3261 Sm
0.2500 0.2500 0.6739 Sm
0.2500 0.2500 0.7995 Sm
0.4770 0.5230 0.5600 Sm
0.4821 0.9821 0.4147 Sm
0.4973 0.5027 0.0774 Sm
0.4982 0.9982 0.8687 Sm
0.5018 0.0018 0.1313 Sm
0.5027 0.4973 0.9226 Sm
0.5179 0.0179 0.5853 Sm
0.5230 0.4770 0.4400 Sm
0.7500 0.7500 0.2005 Sm
0.7500 0.7500 0.3261 Sm
0.7500 0.7500 0.6739 Sm
0.7500 0.7500 0.7995 Sm
0.9770 0.0230 0.4400 Sm
0.9821 0.4821 0.5853 Sm
0.9973 0.0027 0.9226 Sm
0.9982 0.4982 0.1313 Sm
0.2500 0.7500 0.2669 Dy
0.2500 0.7500 0.7286 Dy
0.7500 0.2500 0.2714 Dy
0.7500 0.2500 0.7331 Dy
```

Main lines, in order of rising 2θ (10° ≤ 2θ ≤ 90°):
d = 3.101 Å, 28.79°, rel. 31
d = 3.030 Å, 29.48°, rel. 71
d = 2.951 Å, 30.29°, rel. 100
d = 2.879 Å, 31.06°, rel. 98
d = 2.853 Å, 31.36°, rel. 31
d = 2.742 Å, 32.66°, rel. 75
d = 2.730 Å, 32.80°, rel. 65
d = 2.452 Å, 36.65°, rel. 49
d = 1.915 Å, 47.48°, rel. 28
d = 1.787 Å, 51.11°, rel. 25
d = 1.594 Å, 57.83°, rel. 32
d = 1.518 Å, 61.02°, rel. 28


Record 3
# Zr2CN
Simulated PXRD pattern, Cu Kα (λ = 1.5418 Å). Input: a structure optimized by DFT (GGA-PBE).
Intensities are scaled so that the largest is 100.

Cell and atoms:
```
Zr2CN
1.0
3.8459 0.0000 0.0000
-1.9230 3.3307 0.0000
0.0000 0.0000 4.6672
Zr C N
2 1 1
direct
0.0000 0.0000 0.0000 Zr
0.3333 0.6667 0.5000 Zr
0.0000 0.0000 0.5000 C
0.3333 0.6667 0.0000 N
```

Main lines, in order of rising 2θ (10° ≤ 2θ ≤ 90°):
d = 3.331 Å, 26.77°, rel. 51
d = 2.711 Å, 33.04°, rel. 100
d = 2.334 Å, 38.58°, rel. 24
d = 1.923 Å, 47.27°, rel. 39
d = 1.911 Å, 47.58°, rel. 19
d = 1.568 Å, 58.88°, rel. 19
d = 1.484 Å, 62.59°, rel. 32
d = 1.410 Å, 66.31°, rel. 14
d = 1.215 Å, 78.73°, rel. 17
d = 1.137 Å, 85.39°, rel. 7
d = 1.110 Å, 87.96°, rel. 6
d = 1.108 Å, 88.18°, rel. 6


Record 4
# Mn2AlAg
Simulated PXRD pattern, Cu Kα (λ = 1.5418 Å). Input: a structure optimized by DFT (GGA-PBE).
Intensities are scaled so that the largest is 100.

Cell and atoms:
```
Mn2AlAg
1.0
5.4908 0.0000 0.0000
0.0000 7.6599 0.0000
0.0000 0.0000 2.8384
Mn Al Ag
4 2 2
direct
0.2500 0.2500 0.0000 Mn
0.2500 0.7500 0.0000 Mn
0.7500 0.2500 0.0000 Mn
0.7500 0.7500 0.0000 Mn
0.0000 0.0000 0.5000 Al
0.5000 0.5000 0.5000 Al
0.0000 0.5000 0.5000 Ag
0.5000 0.0000 0.5000 Ag
```

Main lines, in order of rising 2θ (10° ≤ 2θ ≤ 90°):
d = 4.463 Å, 19.90°, rel. 66
d = 2.395 Å, 37.55°, rel. 27
d = 2.315 Å, 38.90°, rel. 12
d = 2.280 Å, 39.52°, rel. 100
d = 2.231 Å, 40.42°, rel. 94
d = 1.973 Å, 45.99°, rel. 63
d = 1.915 Å, 47.48°, rel. 29
d = 1.794 Å, 50.90°, rel. 11
d = 1.374 Å, 68.26°, rel. 45
d = 1.197 Å, 80.15°, rel. 22
d = 1.176 Å, 81.92°, rel. 21
d = 1.164 Å, 82.93°, rel. 10